Ba2Mg6ZnAg: computed X-ray diffraction stick pattern (Cu Kα, 1.54184 Å), based on a DFT-relaxed cell (PBE, Alexandria).
No peak broadening, texture or thermal motion is included.

Crystal structure
Unit cell a=7.4593 b=7.4593 c=7.4540 alpha=119.94 beta=119.94 gamma=90.07
Positions (direct):
Ba 0.2502 0.7498 0.0000
Ba 0.7498 0.2502 0.0000
Mg 0.2489 0.2489 0.4999
Mg 0.2487 0.2487 0.9978
Mg 0.2489 0.7511 0.5000
Mg 0.7511 0.2489 0.5000
Mg 0.7513 0.7513 0.0022
Mg 0.7511 0.7511 0.5001
Zn 0.0000 0.0000 0.5000
Ag 0.5000 0.5000 0.5000

Principal peaks in the range 10 to 90 degrees two-theta, in order of rising 2θ:
d (Å)	2θ (°)	I (rel.)
3.730	23.85	100
3.046	29.32	14
2.638	33.99	47
2.154	41.95	44
1.865	48.83	33
1.668	55.04	18
1.523	60.82	11
1.410	66.29	21